This entry pairs a crystal structure of CdH6SN2 with its calculated powder XRD pattern. Radiation: Cu Kα. Structure: the PBE geometry in Alexandria.

Atomic structure:
```
CdH6SN2
1.0
5.236 -3.571 0.000
5.236 3.571 0.000
-0.357 0.000 5.998
Cd H S N
2 12 2 4
Direct
0.151 0.849 0.750
0.849 0.151 0.250
0.102 0.389 0.738
0.189 0.491 0.972
0.367 0.375 0.279
0.375 0.367 0.779
0.389 0.102 0.238
0.491 0.189 0.472
0.509 0.811 0.528
0.611 0.898 0.762
0.625 0.633 0.221
0.633 0.625 0.721
0.811 0.509 0.028
0.898 0.611 0.262
0.193 0.807 0.250
0.807 0.193 0.750
0.208 0.470 0.802
0.470 0.208 0.302
0.530 0.792 0.698
0.792 0.530 0.198
```

Peak list (10 most intense, 2θ = 10–80°, in order of falling intensity)
16.96 deg, I = 100; 15.02 deg, I = 62; 29.79 deg, I = 45; 21.48 deg, I = 43; 28.50 deg, I = 35; 34.32 deg, I = 34; 20.77 deg, I = 29; 33.41 deg, I = 27; 38.80 deg, I = 24; 35.38 deg, I = 22

---

This entry pairs a crystal structure of NaCdH2 with its calculated powder XRD pattern. Radiation: Cu Kα. Structure: the PBE geometry in Alexandria.

Atomic structure:
```
NaCdH2
1.0
5.814 0.000 0.000
0.000 3.338 0.000
-2.755 0.000 7.116
Na Cd H
2 2 4
Direct
0.246 0.250 0.325
0.754 0.750 0.675
0.353 0.250 0.841
0.647 0.750 0.159
0.017 0.250 0.748
0.463 0.250 0.641
0.537 0.750 0.359
0.983 0.750 0.252
```

Peak list (10 most intense, 2θ = 10–80°, in order of falling intensity)
16.60 deg, I = 100; 31.47 deg, I = 68; 16.35 deg, I = 58; 12.44 deg, I = 54; 36.92 deg, I = 49; 36.54 deg, I = 43; 29.56 deg, I = 35; 33.56 deg, I = 33; 34.80 deg, I = 32; 36.18 deg, I = 32

---

This entry pairs a crystal structure of Na2CdH3 with its calculated powder XRD pattern. Radiation: Cu Kα. Structure: the PBE geometry in Alexandria.

Atomic structure:
```
Na2CdH3
1.0
4.968 -2.613 0.000
4.968 2.613 0.000
-2.445 0.000 6.537
Na Cd H
4 2 6
Direct
0.158 0.167 0.081
0.167 0.158 0.581
0.833 0.842 0.419
0.842 0.833 0.919
0.489 0.511 0.250
0.511 0.489 0.750
0.136 0.864 0.750
0.351 0.357 0.428
0.357 0.351 0.928
0.643 0.649 0.072
0.649 0.643 0.572
0.864 0.136 0.250
```

Peak list (10 most intense, 2θ = 10–80°, in order of falling intensity)
30.81 deg, I = 100; 19.48 deg, I = 98; 33.60 deg, I = 79; 38.84 deg, I = 58; 19.07 deg, I = 56; 27.29 deg, I = 42; 36.49 deg, I = 42; 34.33 deg, I = 40; 52.76 deg, I = 28; 63.74 deg, I = 23

---

This entry pairs a crystal structure of Na3CdH4 with its calculated powder XRD pattern. Radiation: Cu Kα. Structure: the PBE geometry in Alexandria.

Atomic structure:
```
Na3CdH4
1.0
7.107 0.000 0.000
0.000 8.010 0.000
0.000 0.000 5.185
Na Cd H
6 2 8
Direct
0.000 0.127 0.000
0.242 0.678 0.994
0.258 0.322 0.494
0.500 0.873 0.500
0.742 0.322 0.494
0.758 0.678 0.994
0.000 0.893 0.511
0.500 0.107 0.011
0.000 0.131 0.453
0.000 0.854 0.865
0.214 0.798 0.387
0.286 0.202 0.887
0.500 0.146 0.365
0.500 0.869 0.953
0.714 0.202 0.887
0.786 0.798 0.387
```

Peak list (10 most intense, 2θ = 10–80°, in order of falling intensity)
11.05 deg, I = 100; 28.15 deg, I = 87; 32.53 deg, I = 66; 27.46 deg, I = 51; 23.98 deg, I = 47; 21.21 deg, I = 46; 16.68 deg, I = 33; 34.60 deg, I = 30; 25.53 deg, I = 27; 44.73 deg, I = 26

---

This entry pairs a crystal structure of NaCd2H8 with its calculated powder XRD pattern. Radiation: Cu Kα. Structure: the PBE geometry in Alexandria.

Atomic structure:
```
NaCd2H8
1.0
3.056 0.000 0.000
0.020 6.060 0.000
0.797 2.978 10.626
Na Cd H
1 2 8
Direct
0.000 0.000 0.000
0.468 0.492 0.140
0.532 0.508 0.860
0.054 0.659 0.772
0.061 0.544 0.511
0.421 0.986 0.529
0.469 0.799 0.125
0.531 0.201 0.875
0.579 0.014 0.471
0.939 0.456 0.489
0.946 0.341 0.228
```

Peak list (10 most intense, 2θ = 10–80°, in order of falling intensity)
15.20 deg, I = 100; 32.93 deg, I = 29; 25.66 deg, I = 25; 30.64 deg, I = 20; 25.14 deg, I = 18; 19.25 deg, I = 16; 33.07 deg, I = 15; 33.40 deg, I = 14; 29.30 deg, I = 14; 29.48 deg, I = 12

---

This entry pairs a crystal structure of NaCdH6Pt with its calculated powder XRD pattern. Radiation: Cu Kα. Structure: the PBE geometry in Alexandria.

Atomic structure:
```
NaCdH6Pt
1.0
5.070 0.000 0.000
-2.535 4.391 0.000
0.000 0.000 4.583
Na Cd H Pt
1 1 6 1
Direct
0.000 0.000 0.000
0.667 0.333 0.500
0.059 0.423 0.227
0.059 0.636 0.773
0.364 0.423 0.773
0.364 0.941 0.227
0.577 0.636 0.227
0.577 0.941 0.773
0.333 0.667 0.000
```

Peak list (10 most intense, 2θ = 10–80°, in order of falling intensity)
28.14 deg, I = 100; 35.41 deg, I = 42; 20.22 deg, I = 34; 45.83 deg, I = 26; 53.94 deg, I = 25; 59.21 deg, I = 25; 39.32 deg, I = 10; 64.59 deg, I = 9; 77.36 deg, I = 8; 44.60 deg, I = 8

---

This entry pairs a crystal structure of NbCdH with its calculated powder XRD pattern. Radiation: Cu Kα. Structure: the PBE geometry in Alexandria.

Atomic structure:
```
NbCdH
1.0
3.165 0.000 0.000
-1.583 2.741 0.000
0.000 0.000 4.961
Nb Cd H
1 1 1
Direct
0.000 0.000 0.000
0.667 0.333 0.490
0.333 0.667 0.913
```

Peak list (10 most intense, 2θ = 10–80°, in order of falling intensity)
37.49 deg, I = 100; 36.21 deg, I = 24; 32.67 deg, I = 24; 70.59 deg, I = 19; 65.97 deg, I = 18; 58.31 deg, I = 18; 49.56 deg, I = 15; 71.40 deg, I = 14; 79.98 deg, I = 4; 68.46 deg, I = 3

---

This entry pairs a crystal structure of NdCdH6Pd4 with its calculated powder XRD pattern. Radiation: Cu Kα. Structure: the PBE geometry in Alexandria.

Atomic structure:
```
NdCdH6Pd4
1.0
4.774 0.000 0.000
-2.387 4.134 0.000
0.000 0.000 6.920
Nd Cd H Pd
1 1 6 4
Direct
0.000 0.000 0.000
0.000 0.000 0.500
0.000 0.500 0.145
0.000 0.500 0.855
0.500 0.000 0.145
0.500 0.000 0.855
0.500 0.500 0.145
0.500 0.500 0.855
0.333 0.667 0.302
0.333 0.667 0.698
0.667 0.333 0.302
0.667 0.333 0.698
```

Peak list (10 most intense, 2θ = 10–80°, in order of falling intensity)
33.78 deg, I = 100; 37.69 deg, I = 94; 51.50 deg, I = 29; 65.55 deg, I = 28; 55.39 deg, I = 20; 68.03 deg, I = 16; 25.09 deg, I = 11; 66.78 deg, I = 10; 12.79 deg, I = 10; 39.05 deg, I = 9